The following is a computed powder diffraction line list of K5Au4. It was derived from a DFT-relaxed cell (GGA-PBE, Alexandria), using Cu Ka.
Peak positions follow from Bragg's law for the DFT cell and can differ from measured ones.

Atomic structure:
a = 11.986 Å, b = 4.924 Å, c = 11.624 Å
α = 90.00°, β = 114.46°, γ = 90.00°
Space group C2/m (No. 12)
One atom of each set of equivalent atoms:
K 0.000 0.000 0.000 [2 per cell]
K 0.102 0.000 0.399 [4 per cell]
K 0.247 0.500 0.176 [4 per cell]
Au 0.059 0.500 0.835 [4 per cell]
Au 0.113 0.500 0.614 [4 per cell]

Top 10 peaks for 2θ = 5–70°, low angle first:
2θ (°)  I_rel  index
14.87  36  2 0 -1
16.25  28  2 0 0
19.78  100  1 1 0
21.19  37  2 0 1
28.83  29  3 1 -1
29.42  38  1 1 -3
32.62  43  3 1 -3
34.42  57  3 1 1
36.49  35  0 2 0
42.55  31  1 1 4

---

The following is a computed powder diffraction line list of PmErGaAu. It was derived from a DFT-relaxed cell (GGA-PBE, Alexandria), using Cu Ka.
Peak positions follow from Bragg's law for the DFT cell and can differ from measured ones.

Atomic structure:
a = 4.566 Å, b = 3.822 Å, c = 11.298 Å
α = 90.00°, β = 90.00°, γ = 90.00°
Space group Amm2 (No. 38)
One atom of each set of equivalent atoms:
Pm 0.000 0.000 0.000 [2 per cell]
Er 0.500 0.000 0.287 [2 per cell]
Ga 0.000 0.000 0.731 [2 per cell]
Au 0.500 0.000 0.573 [2 per cell]

Top 10 peaks for 2θ = 5–70°, low angle first:
2θ (°)  I_rel  index
31.54  100  1 1 1
31.68  26  0 0 4
33.40  35  0 1 3
37.44  33  1 0 4
38.94  64  1 1 3
39.47  32  2 0 0
47.59  19  0 2 0
52.62  29  2 1 3
62.46  16  0 1 7
63.49  16  2 2 0

---

The following is a computed powder diffraction line list of Tb4Dy2HoMg. It was derived from a DFT-relaxed cell (GGA-PBE, Alexandria), using Cu Ka.
Peak positions follow from Bragg's law for the DFT cell and can differ from measured ones.

Atomic structure:
a = 4.962 Å, b = 4.972 Å, c = 9.943 Å
α = 90.00°, β = 90.00°, γ = 90.00°
Space group Pmmm (No. 47)
One atom of each set of equivalent atoms:
Tb 0.000 0.000 0.248 [2 per cell]
Tb 0.500 0.500 0.248 [2 per cell]
Dy 0.000 0.500 0.000 [1 per cell]
Dy 0.500 0.000 0.500 [1 per cell]
Ho 0.000 0.500 0.500 [1 per cell]
Mg 0.500 0.000 0.000 [1 per cell]

Top 10 peaks for 2θ = 5–70°, low angle first:
2θ (°)  I_rel  index
8.89  5  0 0 1
17.85  4  1 0 0
19.98  4  0 1 1
25.35  3  1 0 2
31.18  100  1 1 2
36.16  51  2 0 0
52.06  36  2 2 0
61.91  28  1 3 2
62.01  14  3 1 2
65.03  12  2 2 4